Simulated XRD peak list
Compound: KCl3
Radiation: a wavelength of 1.5418 Å
Structure: a cell relaxed with PBE
No peak broadening, texture or thermal motion is included.

Structure:
```
data_KCl3
_chemical_formula_sum 'K2 Cl6'
_space_group_name_H-M_alt 'I 4/m m m'
_space_group_IT_number 139
_space_group_name_Hall '-I 4 2'
_cell_length_a 4.0947
_cell_length_b 4.0947
_cell_length_c 14.1739
_cell_angle_alpha 90.00
_cell_angle_beta 90.00
_cell_angle_gamma 90.00
loop_
_atom_site_label
_atom_site_fract_x
_atom_site_fract_y
_atom_site_fract_z
K1 0.0000 0.0000 0.0000
Cl1 0.0000 0.0000 0.5000
Cl2 0.0000 0.5000 0.2500
```

Peak list (6 most intense, 15 to 90 degrees two-theta, by angle)
two_theta	intensity
25.1	57
33.4	100
44.2	20
49.8	27
51.6	31
74.5	22



Simulated XRD peak list
Compound: In2P6O19
Radiation: a wavelength of 1.5418 Å
Structure: a cell relaxed with PBE
No peak broadening, texture or thermal motion is included.

Structure:
```
data_In2P6O19
_chemical_formula_sum 'In4 P12 O38'
_space_group_name_H-M_alt 'P m m n'
_space_group_IT_number 59
_cell_length_a 11.6332
_cell_length_b 13.2509
_cell_length_c 5.1118
_cell_angle_alpha 90.00
_cell_angle_beta 90.00
_cell_angle_gamma 90.00
loop_
_space_group_symop_operation_xyz
'x,y,z'
'-x,-y,-z'
'-x+1/2,-y+1/2,z'
'x+1/2,y+1/2,-z'
'x+1/2,-y,-z'
'-x+1/2,y,z'
'-x,y+1/2,-z'
'x,-y+1/2,z'
loop_
_atom_site_label
_atom_site_fract_x
_atom_site_fract_y
_atom_site_fract_z
In1 0.0000 0.0000 0.0000
P1 0.1218 0.1368 0.4962
P2 0.2500 0.6373 0.0590
O1 0.0397 0.1217 0.2725
O2 0.1090 0.2500 0.6080
O3 0.1177 0.0681 0.7284
O4 0.1389 0.5900 0.1565
O5 0.2500 0.1354 0.3737
O6 0.2500 0.6353 0.7574
O7 0.2500 0.7500 0.1725
```

Peak list (6 most intense, 15 to 90 degrees two-theta, by angle)
two_theta	intensity
20.1	100
20.3	100
22.0	90
26.8	93
35.5	53
35.8	51



Simulated XRD peak list
Compound: Ba2ClF3
Radiation: a wavelength of 1.5418 Å
Structure: a cell relaxed with PBE
No peak broadening, texture or thermal motion is included.

Structure:
```
data_Ba2ClF3
_chemical_formula_sum 'Ba2 Cl1 F3'
_space_group_name_H-M_alt 'P -3 m 1'
_space_group_IT_number 164
_space_group_name_Hall '-P 3 2"'
_cell_length_a 4.4977
_cell_length_b 4.4977
_cell_length_c 7.5008
_cell_angle_alpha 90.00
_cell_angle_beta 90.00
_cell_angle_gamma 120.00
loop_
_atom_site_label
_atom_site_fract_x
_atom_site_fract_y
_atom_site_fract_z
Ba1 0.3333 0.6667 0.2988
Cl1 0.0000 0.0000 0.0000
F1 0.0000 0.0000 0.5000
F2 0.3333 0.6667 0.6643
```

Peak list (6 most intense, 15 to 90 degrees two-theta, by angle)
two_theta	intensity
25.8	100
33.2	53
40.1	49
43.0	20
48.3	18
54.9	21



Simulated XRD peak list
Compound: Na2SO3
Radiation: a wavelength of 1.5418 Å
Structure: a cell relaxed with PBE
No peak broadening, texture or thermal motion is included.

Structure:
```
data_Na2SO3
_chemical_formula_sum 'Na4 S2 O6'
_space_group_name_H-M_alt 'P -3'
_space_group_IT_number 147
_cell_length_a 5.5228
_cell_length_b 5.5228
_cell_length_c 6.1993
_cell_angle_alpha 90.00
_cell_angle_beta 90.00
_cell_angle_gamma 120.00
loop_
_space_group_symop_operation_xyz
'x,y,z'
'-x,-y,-z'
'-y,x-y,z'
'y,-x+y,-z'
'-x+y,-x,z'
'x-y,x,-z'
loop_
_atom_site_label
_atom_site_fract_x
_atom_site_fract_y
_atom_site_fract_z
Na1 0.0000 0.0000 0.0000
Na2 0.0000 0.0000 0.5000
Na3 0.3333 0.6667 0.1659
S1 0.3333 0.6667 0.6649
O1 0.1208 0.3823 0.7652
```

Peak list (6 most intense, 15 to 90 degrees two-theta, by angle)
two_theta	intensity
23.5	56
28.8	25
32.4	79
34.5	100
48.0	59
59.2	37



Simulated XRD peak list
Compound: ZnSnP4O12
Radiation: a wavelength of 1.5418 Å
Structure: a cell relaxed with PBE
No peak broadening, texture or thermal motion is included.

Structure:
```
data_ZnSnP4O12
_chemical_formula_sum 'Zn4 Sn4 P16 O48'
_space_group_name_H-M_alt 'C 1 2/c 1'
_space_group_IT_number 15
_cell_length_a 12.4295
_cell_length_b 8.7450
_cell_length_c 10.9916
_cell_angle_alpha 90.00
_cell_angle_beta 120.23
_cell_angle_gamma 90.00
loop_
_space_group_symop_operation_xyz
'x,y,z'
'-x,-y,-z'
'-x,y,-z+1/2'
'x,-y,z+1/2'
'x+1/2,y+1/2,z'
'-x+1/2,-y+1/2,-z'
'-x+1/2,y+1/2,-z+1/2'
'x+1/2,-y+1/2,z+1/2'
loop_
_atom_site_label
_atom_site_fract_x
_atom_site_fract_y
_atom_site_fract_z
Zn1 0.0000 0.0072 0.2500
Sn1 0.2500 0.2500 0.5000
P1 0.0134 0.2582 0.9865
P2 0.1939 0.4904 0.1830
O1 0.0260 0.2116 0.4088
O2 0.0357 0.1390 0.9053
O3 0.0889 0.3782 0.6238
O4 0.1377 0.3608 0.0622
O5 0.1928 0.0508 0.3203
O6 0.2102 0.4366 0.3196
```

Peak list (6 most intense, 15 to 90 degrees two-theta, by angle)
two_theta	intensity
18.3	28
19.1	40
24.0	32
26.9	24
27.7	100
35.5	28



Simulated XRD peak list
Compound: LuS
Radiation: a wavelength of 1.5418 Å
Structure: a cell relaxed with PBE
No peak broadening, texture or thermal motion is included.

Structure:
```
data_LuS
_chemical_formula_sum 'Lu4 S4'
_space_group_name_H-M_alt 'F m -3 m'
_space_group_IT_number 225
_space_group_name_Hall '-F 4 2 3'
_cell_length_a 5.3845
_cell_length_b 5.3845
_cell_length_c 5.3845
_cell_angle_alpha 90.00
_cell_angle_beta 90.00
_cell_angle_gamma 90.00
loop_
_atom_site_label
_atom_site_fract_x
_atom_site_fract_y
_atom_site_fract_z
Lu1 0.0000 0.0000 0.0000
S1 0.0000 0.0000 0.5000
```

Peak list (6 most intense, 15 to 90 degrees two-theta, by angle)
two_theta	intensity
28.7	88
33.3	100
47.8	72
56.7	42
79.6	32
89.1	26



What is the formula in the fourth record? Na2SO3